Entry 1:
This entry pairs a crystal structure of SrCaI4 with its theoretical PXRD pattern. Radiation: Cu Kα (λ = 1.5418 Å). Structure: a cell relaxed with GGA-PBE.

Top 6 peaks for 2θ from 10° to 80°, in order of rising 2θ:
2θ 22.0, rel. 465; 2θ 23.3, rel. 419; 2θ 24.6, rel. 576; 2θ 26.4, rel. 1000; 2θ 27.0, rel. 871; 2θ 34.0, rel. 467

Cell lengths 8.1045, 16.3264, 8.3703 Å; angles 90.00, 94.14, 90.00 degrees
Atoms (fractional coordinates):
Sr  0.1547  0.1337  0.3939
Sr  0.1547  0.3663  0.8939
Sr  0.8453  0.6337  0.1061
Sr  0.8453  0.8663  0.6061
Ca  0.2730  0.6366  0.7420
Ca  0.2730  0.8634  0.2420
Ca  0.7270  0.1366  0.7580
Ca  0.7270  0.3634  0.2580
I  0.0905  0.7203  0.4263
I  0.0905  0.7797  0.9263
I  0.2312  0.5502  0.0684
I  0.2312  0.9498  0.5684
I  0.2655  0.0297  0.0921
I  0.2655  0.4703  0.5921
I  0.3743  0.2046  0.7283
I  0.3743  0.2954  0.2283
I  0.6257  0.7046  0.7717
I  0.6257  0.7954  0.2717
I  0.7345  0.5297  0.4079
I  0.7345  0.9703  0.9079
I  0.7688  0.0502  0.4316
I  0.7688  0.4498  0.9316
I  0.9095  0.2203  0.0737
I  0.9095  0.2797  0.5737

***

Entry 2:
This entry pairs a crystal structure of SrCaI4 with its theoretical PXRD pattern. Radiation: Cu Kα (λ = 1.5418 Å). Structure: a cell relaxed with GGA-PBE.

Top 6 peaks for 2θ from 10° to 80°, in order of rising 2θ:
2θ 22.3, rel. 487; 2θ 25.5, rel. 681; 2θ 26.7, rel. 1000; 2θ 31.1, rel. 812; 2θ 31.7, rel. 532; 2θ 46.7, rel. 405

Cell lengths 10.0241, 10.0241, 10.0241 Å; angles 133.04, 133.04, 68.59 degrees
Atoms (fractional coordinates):
Sr  0.3750  0.1250  0.2500
Sr  0.6250  0.8750  0.7500
Ca  0.1250  0.3750  0.7500
Ca  0.8750  0.6250  0.2500
I  0.0300  0.7395  0.8404
I  0.2395  0.8992  0.7096
I  0.3104  0.4700  0.2096
I  0.3992  0.1896  0.6596
I  0.6008  0.8104  0.3404
I  0.6896  0.5300  0.7904
I  0.7605  0.1008  0.2904
I  0.9700  0.2605  0.1596